Computed XRD peak list
Compound: K6CdHg23
Radiation: Cu Ka
Structure: the PBE geometry in Alexandria
No peak broadening, texture or thermal motion is included.

Peak list (12 most intense, 10 to 90 degrees two-theta, by intensity)
33.0°, I = 100
30.3°, I = 24
58.9°, I = 24
38.9°, I = 23
20.0°, I = 19
34.6°, I = 15
57.2°, I = 14
11.5°, I = 14
38.5°, I = 12
60.0°, I = 10
72.9°, I = 10
47.4°, I = 10

Structure:
```
data_K6CdHg23
_cell_length_a 15.3520
_cell_length_b 15.3520
_cell_length_c 15.3520
_cell_angle_alpha 90.00
_cell_angle_beta 90.00
_cell_angle_gamma 90.00
_symmetry_space_group_name_H-M 'F m -3 m'
_symmetry_Int_Tables_number 225
_symmetry_space_group_name_Hall '-F 4 2 3'
loop_
_atom_site_label
_atom_site_fract_x
_atom_site_fract_y
_atom_site_fract_z
K1 0.0000 0.0000 0.2281
Cd1 0.0000 0.0000 0.5000
Hg1 0.0000 0.0000 0.0000
Hg2 0.0000 0.2500 0.2500
Hg3 0.1202 0.1202 0.3798
Hg4 0.1620 0.1620 0.1620
```